No. 1
# Tb5Pr6Sc2
Theoretical X-ray diffraction stick pattern, Cu Kα, 1.54184 Å. Input: a DFT-relaxed cell (GGA-PBE, Alexandria).
No peak broadening, texture or thermal motion is included.

Most intense lines, 10 to 90 degrees two-theta, by angle:
d [Å], intensity, index
3.274, 58, 3 3 0
3.212, 20, 1 2 1
2.993, 49, 0 4 1
2.842, 100, 0 8 0
2.792, 16, 2 7 0
2.754, 56, 2 3 1
2.623, 20, 2 4 1
2.511, 35, 3 1 1
2.479, 29, 2 5 1
1.788, 17, 3 9 1
1.759, 16, 0 0 2
1.496, 28, 0 8 2

Atomic structure:
Cell: 10.8874 22.7701 3.5186 Å, 90.00 90.00 90.00°
Space group Pbam (No. 55)
Asymmetric unit:
Tb (0.0000, 0.0000, 0.0000)
Tb (0.0848, 0.2506, 0.0000)
Tb (0.1653, 0.5064, 0.0000)
Pr (0.0289, 0.3869, 0.5000)
Pr (0.1402, 0.1159, 0.5000)
Pr (0.1657, 0.8607, 0.0000)
Sc (0.1654, 0.7276, 0.5000)

---

No. 2
# K2RbVCl6
Theoretical X-ray diffraction stick pattern, Cu Kα, 1.54184 Å. Input: a DFT-relaxed cell (GGA-PBE, Alexandria).
No peak broadening, texture or thermal motion is included.

Most intense lines, 10 to 90 degrees two-theta, by angle:
d [Å], intensity, index
8.744, 59, 0 0 1
6.813, 31, 0 1 1
5.515, 94, 1 0 1
5.434, 69, 0 2 0
4.918, 30, 1 1 1
3.871, 68, 1 2 1
2.757, 57, 2 0 2
2.717, 62, 0 4 0
2.673, 100, 2 1 2
2.568, 69, 0 2 3
2.437, 78, 2 3 1
1.707, 41, 2 5 2

Atomic structure:
Cell: 7.1062 10.8677 8.7438 Å, 90.00 90.00 90.00°
Space group Pmmn (No. 59, origin choice 2)
Asymmetric unit:
K (0.2500, 0.0542, 0.1593)
Rb (0.2500, 0.2500, 0.6753)
V (0.2500, 0.7500, 0.8163)
Cl (0.0057, 0.7500, 0.6299)
Cl (0.0182, 0.7500, 0.0178)
Cl (0.2500, 0.5284, 0.8131)

---

No. 3
# Sr3TlCd8
Theoretical X-ray diffraction stick pattern, Cu Kα, 1.54184 Å. Input: a DFT-relaxed cell (GGA-PBE, Alexandria).
No peak broadening, texture or thermal motion is included.

Most intense lines, 10 to 90 degrees two-theta, by angle:
d [Å], intensity, index
5.044, 7, 0 1 2
3.089, 26, 1 1 0
2.634, 100, 1 1 6
2.522, 41, 0 0 12
2.184, 5, 2 0 8
1.783, 10, 3 0 0
1.681, 33, 3 0 6
1.544, 28, 2 2 0
1.332, 11, 0 4 2
1.317, 15, 2 2 12
1.168, 5, 4 1 0
1.137, 19, 4 1 6

Atomic structure:
Cell: 6.1798 6.1798 30.2431 Å, 90.00 90.00 120.00°
Space group R3m (No. 160, hexagonal axes)
Asymmetric unit:
Sr (0.0000, 0.0000, 0.0000)
Sr (0.0000, 0.0000, 0.1279)
Sr (0.0000, 0.0000, 0.6174)
Tl (0.0000, 0.0000, 0.4957)
Cd (0.0000, 0.0000, 0.3109)
Cd (0.0000, 0.0000, 0.8117)
Cd (0.0012, 0.5006, 0.5617)
Cd (0.1672, 0.3344, 0.3944)

---

No. 4
# Rb2NaSbF6
Theoretical X-ray diffraction stick pattern, Cu Kα, 1.54184 Å. Input: a DFT-relaxed cell (GGA-PBE, Alexandria).
No peak broadening, texture or thermal motion is included.

Most intense lines, 10 to 90 degrees two-theta, by angle:
d [Å], intensity, index
5.217, 36, 1 0 -2
3.196, 100, 1 1 1
3.187, 20, 0 2 0
2.724, 19, 1 0 -4
2.259, 52, 0 0 4
1.846, 36, 3 1 -1
1.842, 17, 1 3 1
1.599, 15, 2 2 2
1.597, 10, 2 2 -6
1.429, 18, 1 1 5
1.209, 9, 3 1 3
1.208, 9, 4 2 -8

Atomic structure:
Cell: 6.4004 6.3748 11.0728 Å, 90.00 125.27 90.00°
Space group P2_1/c (No. 14)
Asymmetric unit:
Rb (0.2480, 0.0127, 0.2495)
Na (0.0000, 0.0000, 0.5000)
Sb (0.5000, 0.0000, 0.0000)
F (0.2128, 0.2199, 0.9786)
F (0.2586, 0.7336, 0.9781)
F (0.2991, 0.0056, 0.7571)